Theoretical powder diffractogram
Compound: KCoPH2O5
Radiation: Cu Kα X-rays
Structure: a structure optimized by DFT (PBE+U)

Main lines, low angle first (5° ≤ 2θ ≤ 70°):
10.8°, I = 66.2
21.7°, I = 35.5
27.1°, I = 21.4
32.2°, I = 44.0
33.2°, I = 100.0
38.0°, I = 14.2
39.2°, I = 13.7
43.8°, I = 13.7
52.0°, I = 15.4
58.0°, I = 16.5

Cell lengths 5.557, 8.165, 4.733 Å; angles 90.00, 90.00, 90.00 degrees
Sites, in units of the cell vectors:
K (0.000, 0.042, 0.000)
K (0.500, 0.958, 0.500)
Co (0.000, 0.483, 0.874)
Co (0.500, 0.517, 0.374)
P (0.000, 0.716, 0.443)
P (0.500, 0.284, 0.943)
H (0.142, 0.301, 0.450)
H (0.358, 0.699, 0.950)
H (0.642, 0.699, 0.950)
H (0.858, 0.301, 0.450)
O (0.000, 0.284, 0.572)
O (0.000, 0.687, 0.122)
O (0.000, 0.899, 0.507)
O (0.222, 0.629, 0.586)
O (0.278, 0.371, 0.086)
O (0.500, 0.101, 0.007)
O (0.500, 0.313, 0.622)
O (0.500, 0.716, 0.072)
O (0.722, 0.371, 0.086)
O (0.778, 0.629, 0.586)